1.
Starting from DFT lattice parameters and positions (GGA-PBE), the XRD peak list of AcSm6Y3 was calculated for copper Kα.

Principal peaks in the range 2θ = 5–70°, in order of falling intensity:
2θ/deg  I/Imax
21.11  100
35.56  53
28.28  52
12.64  50
32.70  39
38.57  25

```
AcSm6Y3
1.0
-4.2083 4.2083 6.3110
4.2083 -4.2083 6.3110
4.2083 4.2083 -6.3110
Ac Sm Y
1 6 3
direct
0.0000 0.0000 0.0000
0.0000 0.3358 0.3358
0.0000 0.6642 0.6642
0.2502 0.2502 0.0000
0.3358 0.0000 0.3358
0.6642 0.0000 0.6642
0.7498 0.7498 0.0000
0.2500 0.7500 0.5000
0.5000 0.5000 0.0000
0.7500 0.2500 0.5000
```

***

2.
Starting from DFT lattice parameters and positions (GGA-PBE), the XRD peak list of Mo2NCl7 was calculated for copper Kα.

Principal peaks in the range 2θ = 5–70°, in order of falling intensity:
2θ/deg  I/Imax
14.49  100
13.30  60
14.75  30
20.44  24
29.06  19
30.18  18

```
Mo2NCl7
1.0
9.3880 0.0000 0.0000
-1.9737 9.8565 0.0000
-4.2789 -3.7547 12.2127
Mo N Cl
8 4 28
direct
0.0294 0.3922 0.2309
0.1149 0.9010 0.8181
0.3478 0.0713 0.6784
0.4390 0.5616 0.2681
0.5610 0.4384 0.7319
0.6522 0.9287 0.3216
0.8851 0.0990 0.1819
0.9706 0.6078 0.7691
0.2440 0.9956 0.7469
0.2463 0.4870 0.2467
0.7537 0.5130 0.7533
0.7560 0.0044 0.2531
0.0030 0.9195 0.1866
0.0643 0.2054 0.1006
0.0721 0.5680 0.3855
0.0871 0.5105 0.8996
0.1090 0.2438 0.3554
0.1832 0.9558 0.5033
0.2313 0.7130 0.7687
0.2530 0.2758 0.6891
0.3044 0.9935 0.9890
0.4193 0.7440 0.1636
0.4433 0.5509 0.6144
0.4492 0.4261 0.1123
0.4746 0.7672 0.4114
0.4760 0.0588 0.3087
0.5240 0.9412 0.6913
0.5254 0.2328 0.5886
0.5508 0.5739 0.8877
0.5567 0.4491 0.3856
0.5807 0.2560 0.8364
0.6956 0.0065 0.0110
0.7470 0.7242 0.3109
0.7687 0.2870 0.2313
0.8168 0.0442 0.4967
0.8910 0.7562 0.6446
0.9129 0.4895 0.1004
0.9279 0.4320 0.6145
0.9357 0.7946 0.8994
0.9970 0.0805 0.8134
```

***

3.
Starting from DFT lattice parameters and positions (GGA-PBE), the XRD peak list of Cu7Ag3 was calculated for copper Kα.

Principal peaks in the range 2θ = 5–70°, in order of falling intensity:
2θ/deg  I/Imax
41.30  100
41.09  99
47.08  35
48.69  31
48.03  27
33.41  9

```
Cu7Ag3
1.0
4.2877 -1.8700 0.0000
4.2877 1.8700 0.0000
-0.1656 0.0000 8.5280
Cu Ag
7 3
direct
0.0000 0.0000 0.0000
0.1054 0.1054 0.7275
0.2921 0.2921 0.0899
0.4111 0.4111 0.8224
0.5033 0.5033 0.5244
0.5945 0.5945 0.1848
0.7013 0.7013 0.9139
0.1926 0.1926 0.4081
0.8076 0.8076 0.6254
0.8967 0.8967 0.2916
```

***

4.
Starting from DFT lattice parameters and positions (GGA-PBE), the XRD peak list of Tb2SbPt8 was calculated for copper Kα.

Principal peaks in the range 2θ = 5–70°, in order of falling intensity:
2θ/deg  I/Imax
36.70  100
43.42  53
42.08  49
39.39  38
37.97  34
16.40  30

```
Tb2SbPt8
1.0
4.2950 0.0000 0.0000
0.0000 8.7528 2.8413
0.0000 -8.7528 2.8413
Tb Sb Pt
2 1 8
direct
0.0000 0.1313 0.8687
0.0000 0.8687 0.1313
0.5000 0.6681 0.6681
0.0000 0.2656 0.6722
0.0000 0.3923 0.3923
0.0000 0.6722 0.2656
0.5000 0.0939 0.0939
0.5000 0.2878 0.5217
0.5000 0.4821 0.9630
0.5000 0.5217 0.2878
0.5000 0.9630 0.4821
```

***

5.
Starting from DFT lattice parameters and positions (GGA-PBE), the XRD peak list of AgP was calculated for copper Kα.

Principal peaks in the range 2θ = 5–70°, in order of falling intensity:
2θ/deg  I/Imax
34.96  100
10.37  64
39.88  42
19.64  34
44.16  34
42.38  29

```
AgP
1.0
5.3299 0.0000 0.0000
0.0000 3.2123 0.0000
0.0000 0.0000 8.5338
Ag P
4 4
direct
0.0000 0.0000 0.0000
0.2500 0.5000 0.2373
0.5000 0.0000 0.0000
0.7500 0.5000 0.7627
0.2500 0.0000 0.5166
0.2500 0.5000 0.6944
0.7500 0.0000 0.4834
0.7500 0.5000 0.3056
```